(1)
# Li4Nb3V3Sn2O16
Theoretical powder diffractogram, copper Kα. Input: a cell relaxed with GGA+U.
Lines closer than 0.1° are merged.

Largest 10 diffraction maxima, sorted by position, 15° ≤ 2θ ≤ 90°:
d_spacing, I (rel.)
5.073, 32
4.696, 49
4.667, 100
3.651, 42
2.843, 58
2.617, 28
2.607, 28
2.599, 28
2.543, 45
1.607, 30

Lattice parameters (Å, degrees): 6.0951 6.0951 10.1455 90.26 90.26 59.55
Fractional positions:
Li: 0.0000 0.0000 0.0000
Li: 0.0018 0.0018 0.4998
Li: 0.3382 0.3382 0.4125
Li: 0.6694 0.6694 0.8999
Nb: 0.1741 0.1741 0.7262
Nb: 0.3650 0.8247 0.2225
Nb: 0.8247 0.3650 0.2225
V: 0.1850 0.6544 0.7218
V: 0.6544 0.1850 0.7218
V: 0.8311 0.8311 0.2223
Sn: 0.3436 0.3436 0.9991
Sn: 0.6811 0.6811 0.5054
O: 0.0065 0.0065 0.8165
O: 0.0075 0.0075 0.3158
O: 0.0391 0.4791 0.8500
O: 0.1709 0.1709 0.1059
O: 0.1737 0.6830 0.1080
O: 0.3280 0.3280 0.6091
O: 0.3349 0.8491 0.6111
O: 0.4791 0.0391 0.8500
O: 0.4856 0.4856 0.8534
O: 0.5097 0.9754 0.3530
O: 0.5214 0.5214 0.3601
O: 0.6731 0.6731 0.0945
O: 0.6830 0.1737 0.1080
O: 0.8491 0.3349 0.6111
O: 0.8491 0.8491 0.6072
O: 0.9754 0.5097 0.3530



(2)
# CaV2O4
Theoretical powder diffractogram, copper Kα. Input: a cell relaxed with GGA+U.
Lines closer than 0.1° are merged.

Largest 10 diffraction maxima, sorted by position, 15° ≤ 2θ ≤ 90°:
d_spacing, I (rel.)
5.149, 33
3.153, 28
2.689, 100
2.575, 7
2.230, 33
1.821, 8
1.716, 45
1.577, 53
1.360, 11
1.161, 15

Lattice parameters (Å, degrees): 6.3066 6.3066 6.3066 60.00 60.00 60.00
Fractional positions:
Ca: 0.1250 0.1250 0.1250
Ca: 0.8750 0.8750 0.8750
V: 0.0000 0.5000 0.5000
V: 0.5000 0.0000 0.5000
V: 0.5000 0.5000 0.0000
V: 0.5000 0.5000 0.5000
O: 0.2677 0.2677 0.2677
O: 0.2677 0.2677 0.6969
O: 0.2677 0.6969 0.2677
O: 0.3031 0.7323 0.7323
O: 0.6969 0.2677 0.2677
O: 0.7323 0.3031 0.7323
O: 0.7323 0.7323 0.3031
O: 0.7323 0.7323 0.7323



(3)
# ZnCo2P4O14
Theoretical powder diffractogram, copper Kα. Input: a cell relaxed with GGA+U.
Lines closer than 0.1° are merged.

Largest 10 diffraction maxima, sorted by position, 15° ≤ 2θ ≤ 90°:
d_spacing, I (rel.)
5.849, 38
5.142, 34
3.045, 75
3.020, 100
2.944, 96
2.541, 19
2.532, 26
2.114, 36
2.061, 23
1.589, 27

Lattice parameters (Å, degrees): 7.0329 8.3104 9.0650 90.00 114.74 90.00
Fractional positions:
Zn: 0.0000 0.1956 0.0000
Zn: 0.0000 0.8044 0.5000
Co: 0.4777 0.3421 0.2200
Co: 0.4777 0.6579 0.7200
Co: 0.9463 0.1755 0.4590
Co: 0.9463 0.8245 0.9590
P: 0.1614 0.4917 0.8654
P: 0.1614 0.5083 0.3654
P: 0.2314 0.0195 0.7982
P: 0.2314 0.9805 0.2982
P: 0.6438 0.0178 0.0940
P: 0.6438 0.9822 0.5940
P: 0.7624 0.4822 0.5719
P: 0.7624 0.5178 0.0719
O: 0.0725 0.0069 0.8771
O: 0.0725 0.9931 0.3771
O: 0.0960 0.3529 0.4171
O: 0.0960 0.6471 0.9171
O: 0.1642 0.1560 0.6716
O: 0.1642 0.8440 0.1716
O: 0.2227 0.3521 0.9901
O: 0.2227 0.6479 0.4901
O: 0.2596 0.1413 0.2266
O: 0.2596 0.8587 0.7266
O: 0.3219 0.4827 0.2959
O: 0.3219 0.5173 0.7959
O: 0.4431 0.0821 0.9348
O: 0.4431 0.9179 0.4348
O: 0.5890 0.4974 0.1303
O: 0.5890 0.5026 0.6303
O: 0.6045 0.1359 0.6574
O: 0.6045 0.8641 0.1574
O: 0.6847 0.1650 0.2134
O: 0.6847 0.8350 0.7134
O: 0.7141 0.3394 0.4497
O: 0.7141 0.6606 0.9497
O: 0.8163 0.0142 0.0266
O: 0.8163 0.9858 0.5266
O: 0.8171 0.3659 0.0099
O: 0.8171 0.6341 0.5099
O: 0.9568 0.4118 0.7251
O: 0.9568 0.5882 0.2251